Simulated powder XRD pattern
Compound: Na7Hg2Pb2
Radiation: Cu Kα, 1.54184 Å
Structure: a structure optimized by DFT (PBE)
Intensities are scaled so that the largest is 100.

Cell and atoms:
```
data_Na7Hg2Pb2
_cell_length_a 8.6609
_cell_length_b 9.3239
_cell_length_c 8.2466
_cell_angle_alpha 90.00
_cell_angle_beta 101.95
_cell_angle_gamma 90.00
_symmetry_space_group_name_H-M 'C 1 2/m 1'
_symmetry_Int_Tables_number 12
loop_
_symmetry_equiv_pos_as_xyz
'x,y,z'
'-x,-y,-z'
'-x,y,-z'
'x,-y,z'
'x+1/2,y+1/2,z'
'-x+1/2,-y+1/2,-z'
'-x+1/2,y+1/2,-z'
'x+1/2,-y+1/2,z'
loop_
_atom_site_label
_atom_site_fract_x
_atom_site_fract_y
_atom_site_fract_z
_atom_site_occupancy
Na1 0.0000 0.0000 0.0000 1
Na2 0.1613 0.0000 0.4203 1
Na3 0.2087 0.3087 0.1972 1
Hg1 0.1211 0.5000 0.8685 1
Pb1 0.0000 0.3235 0.5000 1
```

Principal peaks in the range 10 to 90 degrees two-theta, by angle:
index, Position (°2θ), d/Å, I_rel
1 1 0, 14.1, 6.271, 83.1
2 0 -1, 21.6, 4.118, 32.0
0 2 1, 22.0, 4.036, 47.9
2 2 1, 32.2, 2.782, 26.4
3 1 -1, 32.8, 2.731, 29.6
1 3 1, 33.4, 2.684, 100.0
2 0 2, 33.7, 2.659, 23.5
1 1 -3, 34.2, 2.621, 25.5
1 3 -2, 36.7, 2.449, 25.6
1 5 -3, 60.1, 1.540, 14.4